(1)
# Eu2SeS
Computed powder X-ray diffraction pattern, a wavelength of 1.5418 Å. Input: a structure optimized by DFT (PBE).
Intensities are scaled so that the largest is 100.

Unit cell a=4.2370 b=4.2370 c=20.7814 alpha=90.00 beta=90.00 gamma=120.00
Space group R-3m (No. 166, hexagonal axes)
Inequivalent atoms, fractional coordinates:
Eu 0.0000 0.0000 0.2466 x6
Se 0.0000 0.0000 0.0000 x3
S 0.0000 0.0000 0.5000 x3

Largest 6 diffraction maxima, sorted by position, 10° ≤ 2θ ≤ 90°:
| d (Å) | Position (°2θ) | I (rel.) | h k l |
| --- | --- | --- | --- |
| 3.461 | 25.74 | 39 | 0 1 2 |
| 2.997 | 29.81 | 100 | 1 0 4 |
| 2.119 | 42.66 | 74 | 1 1 0 |
| 1.730 | 52.91 | 26 | 0 2 4 |
| 1.340 | 70.22 | 33 | 2 1 4 |
| 1.224 | 78.11 | 25 | 3 0 0 |


(2)
# SrEuSeS
Computed powder X-ray diffraction pattern, a wavelength of 1.5418 Å. Input: a structure optimized by DFT (PBE).
Intensities are scaled so that the largest is 100.

Unit cell a=4.3257 b=4.3257 c=21.2614 alpha=90.00 beta=90.00 gamma=120.00
Space group R3m (No. 160, hexagonal axes)
Inequivalent atoms, fractional coordinates:
Sr 0.0000 0.0000 0.0000 x3
Eu 0.0000 0.0000 0.5065 x3
Se 0.0000 0.0000 0.7552 x3
S 0.0000 0.0000 0.2510 x3

Largest 6 diffraction maxima, sorted by position, 10° ≤ 2θ ≤ 90°:
| d (Å) | Position (°2θ) | I (rel.) | h k l |
| --- | --- | --- | --- |
| 3.536 | 25.19 | 24 | 0 1 2 |
| 3.062 | 29.16 | 100 | 1 0 4 |
| 2.165 | 41.72 | 74 | 1 1 0 |
| 1.767 | 51.75 | 20 | 0 2 4 |
| 1.368 | 68.59 | 17 | 2 1 4 |
| 1.249 | 76.20 | 19 | 3 0 0 |